# 1
Starting from DFT lattice parameters and positions (GGA-PBE), the powder diffraction line list of K2NaInCl6 was calculated for Cu Kα (λ = 1.5418 Å).
Kinematic intensities with the Lorentz-polarization factor, no thermal factor.

a = 7.450 Å, b = 7.450 Å, c = 7.450 Å
α = 60.00°, β = 60.00°, γ = 60.00°
Positions (direct):
1 K 0.250 0.250 0.250
2 K 0.750 0.750 0.750
3 Na 0.000 0.000 0.000
4 In 0.500 0.500 0.500
5 Cl 0.259 0.259 0.741
6 Cl 0.259 0.741 0.259
7 Cl 0.259 0.741 0.741
8 Cl 0.741 0.259 0.259
9 Cl 0.741 0.259 0.741
10 Cl 0.741 0.741 0.259

The 10 most intense peaks (2θ = 5–70°), by angle:
two_theta  Rel. int.
14.6  62.0
16.8  54.7
23.9  60.4
28.1  27.0
29.4  26.7
34.0  100.0
38.2  25.8
42.0  26.4
48.9  63.7
60.9  20.4

---

# 2
Starting from DFT lattice parameters and positions (GGA-PBE), the powder diffraction line list of K6InTe4Cl was calculated for Cu Kα (λ = 1.5418 Å).
Kinematic intensities with the Lorentz-polarization factor, no thermal factor.

a = 11.490 Å, b = 11.490 Å, c = 8.142 Å
α = 90.00°, β = 90.00°, γ = 120.00°
Positions (direct):
1 K 0.042 0.521 0.000
2 K 0.124 0.249 0.699
3 K 0.124 0.876 0.699
4 K 0.249 0.124 0.199
5 K 0.479 0.521 0.000
6 K 0.479 0.958 0.000
7 K 0.521 0.042 0.500
8 K 0.521 0.479 0.500
9 K 0.751 0.876 0.699
10 K 0.876 0.124 0.199
11 K 0.876 0.751 0.199
12 K 0.958 0.479 0.500
13 In 0.333 0.667 0.386
14 In 0.667 0.333 0.886
15 Te 0.199 0.397 0.279
16 Te 0.199 0.801 0.279
17 Te 0.333 0.667 0.734
18 Te 0.397 0.199 0.779
19 Te 0.603 0.801 0.279
20 Te 0.667 0.333 0.234
21 Te 0.801 0.199 0.779
22 Te 0.801 0.603 0.779
23 Cl 0.000 0.000 0.458
24 Cl 0.000 0.000 0.958

The 10 most intense peaks (2θ = 5–70°), by angle:
two_theta  Rel. int.
14.1  67.8
20.9  69.6
21.8  37.9
26.1  48.8
28.3  99.3
29.1  76.6
31.1  100.0
37.8  60.1
41.0  50.5
43.1  33.5

---

# 3
Starting from DFT lattice parameters and positions (GGA-PBE), the powder diffraction line list of Li3InCl6 was calculated for Cu Kα (λ = 1.5418 Å).
Kinematic intensities with the Lorentz-polarization factor, no thermal factor.

a = 7.099 Å, b = 7.099 Å, c = 7.099 Å
α = 60.00°, β = 60.00°, γ = 60.00°
Positions (direct):
1 Li 0.000 0.000 0.000
2 Li 0.250 0.250 0.250
3 Li 0.750 0.750 0.750
4 In 0.500 0.500 0.500
5 Cl 0.249 0.249 0.751
6 Cl 0.249 0.751 0.249
7 Cl 0.249 0.751 0.751
8 Cl 0.751 0.249 0.249
9 Cl 0.751 0.249 0.751
10 Cl 0.751 0.751 0.249

The 10 most intense peaks (2θ = 5–70°), by angle:
two_theta  Rel. int.
15.3  62.4
17.7  100.0
29.5  40.2
35.8  56.7
39.1  19.1
40.2  45.1
47.0  14.2
51.5  36.0
54.0  13.9
54.9  21.2

---

# 4
Starting from DFT lattice parameters and positions (GGA-PBE), the powder diffraction line list of Li3InCl6 was calculated for Cu Kα (λ = 1.5418 Å).
Kinematic intensities with the Lorentz-polarization factor, no thermal factor.

a = 6.555 Å, b = 6.555 Å, c = 35.893 Å
α = 90.37°, β = 90.37°, γ = 119.69°
Positions (direct):
1 Li 0.000 0.000 0.250
2 Li 0.000 0.000 0.750
3 Li 0.009 0.656 0.584
4 Li 0.010 0.323 0.917
5 Li 0.020 0.647 0.083
6 Li 0.325 0.314 0.584
7 Li 0.334 0.332 0.083
8 Li 0.342 0.654 0.250
9 Li 0.344 0.991 0.416
10 Li 0.346 0.658 0.750
11 Li 0.353 0.980 0.917
12 Li 0.668 0.666 0.917
13 Li 0.677 0.990 0.083
14 Li 0.685 0.313 0.750
15 Li 0.686 0.675 0.416
16 Li 0.687 0.315 0.250
17 Li 0.700 0.002 0.583
18 Li 0.998 0.300 0.417
19 In 0.010 0.323 0.167
20 In 0.012 0.326 0.667
21 In 0.012 0.988 0.500
22 In 0.344 0.656 0.000
23 In 0.674 0.988 0.333
24 In 0.677 0.990 0.833
25 Cl 0.008 0.630 0.212
26 Cl 0.009 0.630 0.711
27 Cl 0.010 0.682 0.456
28 Cl 0.012 0.302 0.541
29 Cl 0.013 0.017 0.122
30 Cl 0.014 0.013 0.626
31 Cl 0.034 0.346 0.040
32 Cl 0.038 0.659 0.955
33 Cl 0.316 0.294 0.455
34 Cl 0.316 0.319 0.212
35 Cl 0.316 0.629 0.623
36 Cl 0.318 0.324 0.712
37 Cl 0.318 0.990 0.544
38 Cl 0.320 0.633 0.126
39 Cl 0.341 0.962 0.045
40 Cl 0.347 0.351 0.955
41 Cl 0.367 0.680 0.874
42 Cl 0.370 0.991 0.289
43 Cl 0.370 0.992 0.788
44 Cl 0.371 0.684 0.377
45 Cl 0.649 0.653 0.045
46 Cl 0.654 0.966 0.960
47 Cl 0.674 0.295 0.878
48 Cl 0.676 0.297 0.378
49 Cl 0.676 0.682 0.288
50 Cl 0.681 0.684 0.788
51 Cl 0.698 0.988 0.459
52 Cl 0.699 0.014 0.708
53 Cl 0.700 0.013 0.207
54 Cl 0.703 0.324 0.622
55 Cl 0.705 0.326 0.122
56 Cl 0.706 0.684 0.545
57 Cl 0.983 0.987 0.878
58 Cl 0.986 0.301 0.292
59 Cl 0.987 0.300 0.793
60 Cl 0.987 0.986 0.374

The 10 most intense peaks (2θ = 5–70°), by angle:
two_theta  Rel. int.
14.8  21.7
15.6  39.6
15.8  25.5
16.4  58.8
18.4  35.4
21.6  27.1
33.6  48.1
34.0  100.0
47.9  31.6
49.1  29.3

---

# 5
Starting from DFT lattice parameters and positions (GGA-PBE), the powder diffraction line list of LiNb3InCl9 was calculated for Cu Kα (λ = 1.5418 Å).
Kinematic intensities with the Lorentz-polarization factor, no thermal factor.

a = 9.404 Å, b = 9.461 Å, c = 9.471 Å
α = 119.25°, β = 104.88°, γ = 96.81°
Positions (direct):
1 Li 0.118 0.048 0.189
2 Li 0.882 0.952 0.811
3 Nb 0.358 0.300 0.979
4 Nb 0.361 0.429 0.753
5 Nb 0.368 0.655 0.108
6 Nb 0.632 0.345 0.892
7 Nb 0.639 0.571 0.247
8 Nb 0.642 0.700 0.021
9 In 0.157 0.732 0.516
10 In 0.843 0.268 0.484
11 Cl 0.167 0.037 0.943
12 Cl 0.169 0.177 0.682
13 Cl 0.170 0.337 0.439
14 Cl 0.178 0.445 0.100
15 Cl 0.180 0.598 0.834
16 Cl 0.200 0.845 0.248
17 Cl 0.488 0.082 0.849
18 Cl 0.492 0.237 0.584
19 Cl 0.497 0.348 0.266
20 Cl 0.503 0.652 0.734
21 Cl 0.508 0.763 0.416
22 Cl 0.512 0.918 0.151
23 Cl 0.800 0.155 0.752
24 Cl 0.820 0.402 0.166
25 Cl 0.822 0.555 0.900
26 Cl 0.830 0.663 0.561
27 Cl 0.831 0.823 0.318
28 Cl 0.833 0.963 0.057

The 10 most intense peaks (2θ = 5–70°), by angle:
two_theta  Rel. int.
10.2  42.6
10.9  52.8
11.2  59.6
12.3  60.5
15.5  23.2
28.7  14.8
35.0  100.0
36.5  49.9
39.4  14.9
51.6  18.6

---

# 6
Starting from DFT lattice parameters and positions (GGA-PBE), the powder diffraction line list of Na3InCl6 was calculated for Cu Kα (λ = 1.5418 Å).
Kinematic intensities with the Lorentz-polarization factor, no thermal factor.

a = 7.375 Å, b = 7.375 Å, c = 7.375 Å
α = 60.00°, β = 60.00°, γ = 60.00°
Positions (direct):
1 Na 0.000 0.000 0.000
2 Na 0.250 0.250 0.250
3 Na 0.750 0.750 0.750
4 In 0.500 0.500 0.500
5 Cl 0.258 0.258 0.742
6 Cl 0.258 0.742 0.258
7 Cl 0.258 0.742 0.742
8 Cl 0.742 0.258 0.258
9 Cl 0.742 0.258 0.742
10 Cl 0.742 0.742 0.258

The 10 most intense peaks (2θ = 5–70°), by angle:
two_theta  Rel. int.
14.7  68.3
17.0  100.0
24.1  40.7
28.4  31.2
34.4  97.5
38.6  45.2
42.5  19.2
49.4  62.5
52.7  21.5
61.6  20.1